Record 1
Structure and simulated powder X-ray diffraction pattern of TbNdHo (DFT lattice parameters and positions (GGA-PBE); copper Kα).

The 10 most intense peaks (15 to 90 degrees two-theta), sorted by position:
| d (Å) | intensity | index |
| --- | --- | --- |
| 2.944 | 85 | 1 1 0 |
| 2.877 | 100 | 0 1 3 |
| 2.723 | 63 | 0 2 0 |
| 2.675 | 44 | 1 0 -3 |
| 1.908 | 35 | 1 2 -3 |
| 1.611 | 14 | 1 3 0 |
| 1.600 | 17 | 0 3 3 |
| 1.511 | 29 | 2 1 2 |
| 1.488 | 14 | 2 2 -1 |
| 1.189 | 13 | 2 3 2 |

Atomic structure:
```
data_TbNdHo
_cell_length_a 3.5524
_cell_length_b 5.4462
_cell_length_c 10.3212
_cell_angle_alpha 90.00
_cell_angle_beta 100.02
_cell_angle_gamma 90.00
_space_group_name_H-M_alt 'P 1 21/m 1'
_space_group_IT_number 11
_space_group_name_Hall '-P 2yb'
loop_
_atom_site_label
_atom_site_type_symbol
_atom_site_fract_x
_atom_site_fract_y
_atom_site_fract_z
Tb1 Tb 0.0453 0.2500 0.0813
Nd1 Nd 0.2054 0.2500 0.4114
Ho1 Ho 0.3822 0.2500 0.7697
```

---

Record 2
Structure and simulated powder X-ray diffraction pattern of Tb4Nd19Ho6 (DFT lattice parameters and positions (GGA-PBE); copper Kα).

The 10 most intense peaks (15 to 90 degrees two-theta), sorted by position:
| d (Å) | intensity | index |
| --- | --- | --- |
| 3.394 | 50 | 3 2 1 |
| 3.175 | 55 | 4 0 0 |
| 2.993 | 100 | 4 1 1 |
| 2.707 | 18 | 3 3 2 |
| 2.592 | 38 | 4 2 2 |
| 2.490 | 72 | 4 3 1 |
| 2.178 | 23 | 4 3 3 |
| 1.728 | 25 | 7 2 1 |
| 1.563 | 28 | 7 4 1 |
| 1.540 | 24 | 8 2 0 |

Atomic structure:
```
data_Tb4Nd19Ho6
_cell_length_a 12.6990
_cell_length_b 12.6990
_cell_length_c 12.6990
_cell_angle_alpha 90.00
_cell_angle_beta 90.00
_cell_angle_gamma 90.00
_space_group_name_H-M_alt 'I 2 3'
_space_group_IT_number 197
_space_group_name_Hall 'I 2 2 3'
loop_
_atom_site_label
_atom_site_type_symbol
_atom_site_fract_x
_atom_site_fract_y
_atom_site_fract_z
Tb1 Tb 0.1806 0.1806 0.1806
Nd1 Nd 0.0000 0.0000 0.0000
Nd2 Nd 0.0000 0.0000 0.2598
Nd3 Nd 0.0616 0.2813 0.7375
Ho1 Ho 0.0000 0.1244 0.5000
```

---

Record 3
Structure and simulated powder X-ray diffraction pattern of TbNd2Ho12 (DFT lattice parameters and positions (GGA-PBE); copper Kα).

The 10 most intense peaks (15 to 90 degrees two-theta), sorted by position:
| d (Å) | intensity | index |
| --- | --- | --- |
| 2.951 | 92 | 0 2 7 |
| 2.938 | 52 | 2 2 1 |
| 2.856 | 67 | 2 2 2 |
| 2.794 | 100 | 0 4 0 |
| 2.762 | 50 | 2 0 -6 |
| 2.745 | 90 | 2 2 -4 |
| 2.671 | 52 | 0 2 8 |
| 1.964 | 37 | 2 4 -6 |
| 1.543 | 36 | 2 2 13 |
| 1.494 | 30 | 4 4 -1 |

Atomic structure:
```
data_TbNd2Ho12
_cell_length_a 7.0713
_cell_length_b 11.1754
_cell_length_c 24.3885
_cell_angle_alpha 90.00
_cell_angle_beta 94.15
_cell_angle_gamma 90.00
_space_group_name_H-M_alt 'C 1 2/m 1'
_space_group_IT_number 12
_space_group_name_Hall '-C 2y'
loop_
_atom_site_label
_atom_site_type_symbol
_atom_site_fract_x
_atom_site_fract_y
_atom_site_fract_z
Tb1 Tb 0.2501 0.0000 0.0002
Nd1 Nd 0.0659 0.0000 0.2722
Nd2 Nd 0.0677 0.5000 0.2724
Ho1 Ho 0.0169 0.2500 0.0737
Ho2 Ho 0.1116 0.2510 0.4453
Ho3 Ho 0.1417 0.0000 0.5723
Ho4 Ho 0.1435 0.5000 0.5709
Ho5 Ho 0.1683 0.2507 0.6689
Ho6 Ho 0.2013 0.2497 0.7998
Ho7 Ho 0.2179 0.0000 0.8647
Ho8 Ho 0.2177 0.5000 0.8643
```

---

Record 4
Structure and simulated powder X-ray diffraction pattern of TbNd4Ho2Th (DFT lattice parameters and positions (GGA-PBE); copper Kα).

The 10 most intense peaks (15 to 90 degrees two-theta), sorted by position:
| d (Å) | intensity | index |
| --- | --- | --- |
| 2.952 | 100 | 1 1 2 |
| 2.562 | 17 | 0 0 4 |
| 2.553 | 34 | 2 0 0 |
| 1.807 | 36 | 2 2 0 |
| 1.544 | 15 | 1 1 6 |
| 1.540 | 29 | 3 1 2 |
| 1.476 | 13 | 2 2 4 |
| 1.173 | 12 | 3 1 6 |
| 1.172 | 6 | 3 3 2 |
| 1.142 | 11 | 4 2 0 |

Atomic structure:
```
data_TbNd4Ho2Th
_cell_length_a 5.1060
_cell_length_b 5.1060
_cell_length_c 10.2496
_cell_angle_alpha 90.00
_cell_angle_beta 90.00
_cell_angle_gamma 90.00
_space_group_name_H-M_alt 'P 4/m m m'
_space_group_IT_number 123
_space_group_name_Hall '-P 4 2'
loop_
_atom_site_label
_atom_site_type_symbol
_atom_site_fract_x
_atom_site_fract_y
_atom_site_fract_z
Tb1 Tb 0.0000 0.0000 0.0000
Nd1 Nd 0.0000 0.5000 0.2517
Ho1 Ho 0.0000 0.0000 0.5000
Ho2 Ho 0.5000 0.5000 0.0000
Th1 Th 0.5000 0.5000 0.5000
```

---

Record 5
Structure and simulated powder X-ray diffraction pattern of TbNd2HoTl2 (DFT lattice parameters and positions (GGA-PBE); copper Kα).

The 10 most intense peaks (15 to 90 degrees two-theta), sorted by position:
| d (Å) | intensity | index |
| --- | --- | --- |
| 3.051 | 18 | 0 3 1 |
| 2.864 | 56 | 1 0 2 |
| 2.854 | 22 | 0 2 2 |
| 2.842 | 100 | 1 3 0 |
| 2.758 | 80 | 1 1 2 |
| 2.627 | 33 | 1 3 1 |
| 2.581 | 58 | 2 0 0 |
| 2.420 | 25 | 0 3 2 |
| 1.766 | 19 | 2 3 2 |
| 1.536 | 19 | 3 3 0 |

Atomic structure:
```
data_TbNd2HoTl2
_cell_length_a 5.1620
_cell_length_b 10.2119
_cell_length_c 6.8851
_cell_angle_alpha 90.00
_cell_angle_beta 90.00
_cell_angle_gamma 90.00
_space_group_name_H-M_alt 'P m c 21'
_space_group_IT_number 26
_space_group_name_Hall 'P 2c -2'
loop_
_atom_site_label
_atom_site_type_symbol
_atom_site_fract_x
_atom_site_fract_y
_atom_site_fract_z
Tb1 Tb 0.0000 0.0415 0.0000
Nd1 Nd 0.0000 0.3132 0.3668
Nd2 Nd 0.5000 0.4568 0.0964
Ho1 Ho 0.5000 0.1842 0.7190
Tl1 Tl 0.0000 0.3549 0.8373
Tl2 Tl 0.5000 0.1252 0.2564
```

---

Record 6
Structure and simulated powder X-ray diffraction pattern of TbNdHo2Tl4 (DFT lattice parameters and positions (GGA-PBE); copper Kα).

The 10 most intense peaks (15 to 90 degrees two-theta), sorted by position:
| d (Å) | intensity | index |
| --- | --- | --- |
| 3.822 | 2 | 1 0 4 |
| 2.702 | 100 | 1 1 0 |
| 1.911 | 18 | 2 0 8 |
| 1.562 | 10 | 1 0 16 |
| 1.560 | 29 | 3 0 0 |
| 1.352 | 6 | 0 2 16 |
| 1.350 | 6 | 2 2 0 |
| 1.209 | 17 | 3 1 8 |
| 1.105 | 1 | 0 0 24 |
| 1.103 | 3 | 0 4 8 |

Atomic structure:
```
data_TbNdHo2Tl4
_cell_length_a 5.4002
_cell_length_b 5.4002
_cell_length_c 26.5238
_cell_angle_alpha 90.00
_cell_angle_beta 90.00
_cell_angle_gamma 120.00
_space_group_name_H-M_alt 'R -3 m'
_space_group_IT_number 166
_space_group_name_Hall '-R 3 2"'
loop_
_atom_site_label
_atom_site_type_symbol
_atom_site_fract_x
_atom_site_fract_y
_atom_site_fract_z
Tb1 Tb 0.0000 0.0000 0.0000
Nd1 Nd 0.0000 0.0000 0.5000
Ho1 Ho 0.0000 0.0000 0.2504
Tl1 Tl 0.0000 0.0000 0.1237
Tl2 Tl 0.0000 0.0000 0.3738
```